No. 1
Diffraction record for Sc2PaGa. The X-ray diffraction stick pattern is theoretical, not measured: it uses a PBE-relaxed structure and copper Kα.

Top 10 peaks for 10° ≤ 2θ ≤ 90°, most intense first:
d 2.558, I 100, (1 0 2)
d 8.534, I 48, (0 0 1)
d 2.260, I 36, (1 1 0)
d 2.993, I 30, (1 0 1)
d 4.267, I 28, (0 0 2)
d 1.355, I 27, (2 1 2)
d 3.196, I 27, (1 0 0)
d 1.551, I 19, (1 1 4)
d 1.997, I 16, (1 1 2)
d 1.774, I 14, (1 0 4)

Crystal structure
Unit cell a=3.196 b=3.196 c=8.534 alpha=90.00 beta=90.00 gamma=90.00
Space group P4/mmm (No. 123)
One atom of each set of equivalent atoms:
Sc1 0.000 0.000 0.218 [2 per cell]
Pa1 0.500 0.500 0.500 [1 per cell]
Ga1 0.500 0.500 0.000 [1 per cell]

No. 2
Diffraction record for PaGa2Se8. The X-ray diffraction stick pattern is theoretical, not measured: it uses a PBE-relaxed structure and copper Kα.

Top 10 peaks for 10° ≤ 2θ ≤ 90°, most intense first:
d 6.035, I 100, (1 0 1)
d 2.524, I 91, (2 1 3)
d 2.917, I 68, (2 1 1)
d 3.929, I 63, (1 1 2)
d 2.432, I 53, (2 0 4)
d 2.021, I 40, (3 1 2)
d 1.680, I 29, (2 1 7)
d 2.119, I 26, (1 1 6)
d 1.509, I 24, (4 0 4)
d 3.865, I 23, (1 0 3)

Crystal structure
Unit cell a=6.664 b=6.664 c=14.233 alpha=90.00 beta=90.00 gamma=90.00
Space group I422 (No. 97)
One atom of each set of equivalent atoms:
Pa1 0.000 0.000 0.000 [2 per cell]
Ga1 0.000 0.500 0.250 [4 per cell]
Se1 0.140 0.336 0.891 [16 per cell]